Starting from a DFT-relaxed cell (GGA-PBE, Alexandria), the X-ray powder pattern of Li3HoCd9 was simulated for Cu Ka.
Peak positions follow from Bragg's law for the DFT cell and can differ from measured ones.

Top 10 peaks for 10 to 80 degrees two-theta, by angle:
2θ/deg, I (rel.)
31.62, 49.4
33.22, 32.8
36.04, 29.3
36.53, 100.0
37.94, 21.8
40.91, 18.2
42.19, 21.5
61.51, 17.0
65.11, 23.3
66.05, 15.6

Atomic structure:
a = 5.3934 Å, b = 14.0902 Å, c = 7.5454 Å
α = 90.00°, β = 110.84°, γ = 90.00°
Space group C2/m (No. 12)
One atom of each set of equivalent atoms:
Li (0.0000, 0.0000, 0.0000) x2
Li (0.2500, 0.2500, 0.5000) x4
Ho (0.0000, 0.0000, 0.5000) x2
Cd (0.0000, 0.5000, 0.0000) x2
Cd (0.1115, 0.3915, 0.7071) x8
Cd (0.1649, 0.1765, 0.8385) x8